Theoretical powder diffractogram
Compound: Li4Mn5Cr3O16
Radiation: a wavelength of 1.5418 Å
Structure: DFT lattice parameters and positions (PBE+U)
Peak positions follow from Bragg's law for the DFT cell and can differ from measured ones.

Most intense lines, 2θ = 10–90°, in order of rising 2θ:
| 2θ (°) | I/Imax |
| --- | --- |
| 18.6 | 100 |
| 19.5 | 33 |
| 19.7 | 59 |
| 19.9 | 77 |
| 36.2 | 45 |
| 36.6 | 40 |
| 40.5 | 34 |
| 45.5 | 33 |
| 46.1 | 48 |
| 63.2 | 43 |

Atomic structure:
a b c (Å): 5.885 5.885 9.519
angles (deg): 91.23 91.23 59.50
Sites, in units of the cell vectors:
Li1 0.000 0.000 0.000
Li2 0.007 0.007 0.503
Li3 0.331 0.331 0.407
Li4 0.671 0.671 0.903
Mn1 0.178 0.178 0.720
Mn2 0.334 0.828 0.222
Mn3 0.341 0.341 0.991
Mn4 0.673 0.673 0.496
Mn5 0.828 0.334 0.222
Cr1 0.180 0.669 0.719
Cr2 0.669 0.180 0.719
Cr3 0.828 0.828 0.221
O1 0.003 0.003 0.317
O2 0.016 0.016 0.815
O3 0.048 0.486 0.845
O4 0.159 0.159 0.116
O5 0.164 0.676 0.107
O6 0.333 0.333 0.612
O7 0.336 0.848 0.603
O8 0.486 0.048 0.845
O9 0.494 0.494 0.840
O10 0.514 0.958 0.348
O11 0.518 0.518 0.346
O12 0.658 0.658 0.117
O13 0.676 0.164 0.107
O14 0.845 0.845 0.598
O15 0.848 0.336 0.603
O16 0.958 0.514 0.348